Theoretical PXRD pattern of LiPmH6Ir for Cu Kα (λ = 1.5418 Å), from a PBE-relaxed structure.
Kinematic intensities with the Lorentz-polarization factor, no thermal factor.

Atomic structure:
Cell lengths 4.5789, 4.5789, 4.3842 Å; angles 90.00, 90.00, 120.00 degrees
Space group P-6m2 (No. 187)
Asymmetric unit:
Li 0.0000 0.0000 0.0000 [1 per cell]
Pm 0.3333 0.6667 0.5000 [1 per cell]
H 0.3566 0.1783 0.2676 [6 per cell]
Ir 0.6667 0.3333 0.0000 [1 per cell]

Principal peaks in the range 10° ≤ 2θ ≤ 90°, in order of rising 2θ:
2θ 22.42, I = 34.8, hkl 1 0 0
2θ 30.39, I = 100.0, hkl 1 0 1
2θ 39.36, I = 33.9, hkl 1 1 0
2θ 41.18, I = 9.7, hkl 0 0 2
2θ 47.39, I = 9.8, hkl 1 0 2
2θ 50.52, I = 24.7, hkl 2 0 1
2θ 58.27, I = 22.3, hkl 1 1 2
2θ 65.86, I = 22.3, hkl 2 1 1
2θ 68.42, I = 10.0, hkl 1 0 3
2θ 71.36, I = 6.0, hkl 3 0 0
2θ 81.89, I = 6.1, hkl 2 0 3
2θ 85.85, I = 7.6, hkl 3 0 2



Theoretical PXRD pattern of NaBe2BS4 for Cu Kα (λ = 1.5418 Å), from a PBE-relaxed structure.
Kinematic intensities with the Lorentz-polarization factor, no thermal factor.

Atomic structure:
Cell lengths 5.3785, 5.3785, 8.7432 Å; angles 90.00, 90.00, 90.00 degrees
Space group I-42m (No. 121)
Asymmetric unit:
Na 0.0000 0.0000 0.0000 [2 per cell]
Be 0.0000 0.5000 0.2500 [4 per cell]
B 0.0000 0.0000 0.5000 [2 per cell]
S 0.2020 0.2020 0.3657 [8 per cell]

Principal peaks in the range 10° ≤ 2θ ≤ 90°, in order of rising 2θ:
2θ 23.39, I = 6.6, hkl 1 1 0
2θ 31.17, I = 100.0, hkl 1 1 2
2θ 33.32, I = 10.2, hkl 2 0 0
2θ 35.02, I = 10.2, hkl 1 0 3
2θ 38.83, I = 27.1, hkl 2 1 1
2θ 47.83, I = 14.4, hkl 2 2 0
2θ 52.07, I = 9.2, hkl 3 0 1
2θ 54.07, I = 24.3, hkl 2 0 4
2θ 58.20, I = 14.0, hkl 3 1 2
2θ 69.02, I = 7.6, hkl 1 1 6
2θ 70.98, I = 7.6, hkl 3 2 3
2θ 73.38, I = 6.6, hkl 4 1 1



Theoretical PXRD pattern of PmBiAu6 for Cu Kα (λ = 1.5418 Å), from a PBE-relaxed structure.
Kinematic intensities with the Lorentz-polarization factor, no thermal factor.

Atomic structure:
Cell lengths 5.5734, 5.5734, 5.5734 Å; angles 90.00, 90.00, 90.00 degrees
Space group Pm-3 (No. 200)
Asymmetric unit:
Pm 0.0000 0.0000 0.0000 [1 per cell]
Bi 0.5000 0.5000 0.5000 [1 per cell]
Au 0.0000 0.2483 0.5000 [6 per cell]

Principal peaks in the range 10° ≤ 2θ ≤ 90°, in order of rising 2θ:
2θ 15.90, I = 0.8, hkl 1 0 0
2θ 27.72, I = 0.5, hkl 1 1 1
2θ 32.12, I = 30.1, hkl 2 0 0
2θ 36.03, I = 100.0, hkl 2 0 1
2θ 39.61, I = 68.9, hkl 2 1 1
2θ 57.26, I = 9.8, hkl 2 2 2
2θ 59.83, I = 23.5, hkl 3 2 0
2θ 62.34, I = 37.0, hkl 3 1 2
2θ 67.18, I = 15.7, hkl 4 0 0
2θ 76.43, I = 10.4, hkl 4 2 0
2θ 78.67, I = 21.9, hkl 4 1 2
2θ 80.90, I = 9.1, hkl 3 3 2



Theoretical PXRD pattern of Mn2AlPd2 for Cu Kα (λ = 1.5418 Å), from a PBE-relaxed structure.
Kinematic intensities with the Lorentz-polarization factor, no thermal factor.

Atomic structure:
Cell lengths 6.7561, 6.7561, 3.5547 Å; angles 90.00, 90.00, 90.00 degrees
Space group P4/mbm (No. 127)
Asymmetric unit:
Mn 0.1582 0.3418 0.0000 [4 per cell]
Al 0.0000 0.0000 0.5000 [2 per cell]
Pd 0.1442 0.6442 0.5000 [4 per cell]

Principal peaks in the range 10° ≤ 2θ ≤ 90°, in order of rising 2θ:
2θ 18.57, I = 21.1, hkl 1 1 0
2θ 25.05, I = 11.2, hkl 0 0 1
2θ 29.57, I = 10.6, hkl 2 1 0
2θ 39.13, I = 100.0, hkl 2 1 1
2θ 42.30, I = 27.5, hkl 3 1 0
2θ 51.41, I = 11.0, hkl 0 0 2
2θ 54.31, I = 8.5, hkl 4 0 0
2θ 57.91, I = 8.2, hkl 3 3 0
2θ 62.40, I = 8.2, hkl 4 1 1
2θ 68.70, I = 12.3, hkl 3 1 2
2θ 81.33, I = 16.1, hkl 5 2 1
2θ 88.67, I = 8.9, hkl 2 1 3



Theoretical PXRD pattern of LiTlAgCl5 for Cu Kα (λ = 1.5418 Å), from a PBE-relaxed structure.
Kinematic intensities with the Lorentz-polarization factor, no thermal factor.

Atomic structure:
Cell lengths 7.6610, 12.2691, 9.6754 Å; angles 90.00, 111.46, 90.00 degrees
Space group C2/c (No. 15)
Asymmetric unit:
Li 0.0000 0.2135 0.2500 [4 per cell]
Tl 0.0000 0.5000 0.0000 [4 per cell]
Ag 0.0000 0.0790 0.7500 [4 per cell]
Cl 0.0000 0.4054 0.7500 [4 per cell]
Cl 0.1658 0.0858 0.4469 [8 per cell]
Cl 0.1770 0.3271 0.1436 [8 per cell]

Principal peaks in the range 10° ≤ 2θ ≤ 90°, in order of rising 2θ:
2θ 14.42, I = 100.0, hkl 0 2 0
2θ 20.42, I = 90.3, hkl 1 1 -2
2θ 24.53, I = 17.1, hkl 0 2 2
2θ 24.98, I = 22.2, hkl 2 0 0
2θ 28.67, I = 30.8, hkl 1 3 1
2θ 28.97, I = 32.0, hkl 2 2 0
2θ 34.93, I = 20.5, hkl 1 3 2
2θ 35.44, I = 24.6, hkl 0 4 2
2θ 36.46, I = 23.1, hkl 3 1 -2
2θ 38.77, I = 31.0, hkl 1 5 0
2θ 42.80, I = 17.2, hkl 0 2 4
2θ 51.85, I = 17.7, hkl 2 6 -2



Theoretical PXRD pattern of Tb6NiSb3 for Cu Kα (λ = 1.5418 Å), from a PBE-relaxed structure.
Kinematic intensities with the Lorentz-polarization factor, no thermal factor.

Atomic structure:
Cell lengths 11.2821, 14.7530, 7.2331 Å; angles 90.00, 90.00, 90.00 degrees
Space group Cmc2_1 (No. 36)
Asymmetric unit:
Tb 0.0000 0.0099 0.0000 [4 per cell]
Tb 0.0000 0.2478 0.9256 [4 per cell]
Tb 0.1596 0.2579 0.4132 [8 per cell]
Tb 0.1758 0.4569 0.8831 [8 per cell]
Ni 0.0000 0.1466 0.2459 [4 per cell]
Sb 0.0000 0.4059 0.5808 [4 per cell]
Sb 0.1773 0.1094 0.7171 [8 per cell]

Principal peaks in the range 10° ≤ 2θ ≤ 90°, in order of rising 2θ:
2θ 23.35, I = 29.7, hkl 2 2 1
2θ 24.62, I = 23.1, hkl 0 0 2
2θ 27.41, I = 29.6, hkl 3 1 1
2θ 31.75, I = 24.5, hkl 1 3 2
2θ 32.43, I = 100.0, hkl 3 3 1
2θ 34.74, I = 55.5, hkl 0 4 2
2θ 34.95, I = 36.0, hkl 3 1 2
2θ 38.79, I = 19.0, hkl 3 5 0
2θ 45.09, I = 24.6, hkl 3 1 3
2θ 48.41, I = 21.3, hkl 6 0 0
2θ 60.94, I = 21.5, hkl 6 4 2
2θ 63.65, I = 24.6, hkl 3 7 3



Theoretical PXRD pattern of Be2InAs for Cu Kα (λ = 1.5418 Å), from a PBE-relaxed structure.
Kinematic intensities with the Lorentz-polarization factor, no thermal factor.

Atomic structure:
Cell lengths 6.9727, 3.4792, 5.8084 Å; angles 90.00, 107.64, 90.00 degrees
Space group Cm (No. 8)
Asymmetric unit:
Be 0.0000 0.0000 0.0000 [2 per cell]
Be 0.2294 0.5000 0.0921 [2 per cell]
In 0.2194 0.0000 0.7007 [2 per cell]
As 0.4819 0.0000 0.2680 [2 per cell]

Principal peaks in the range 10° ≤ 2θ ≤ 90°, in order of rising 2θ:
2θ 26.79, I = 100.0, hkl 2 0 -1
2θ 28.97, I = 71.2, hkl 1 1 0
2θ 31.16, I = 45.8, hkl 1 1 -1
2θ 32.35, I = 48.6, hkl 0 0 2
2θ 35.27, I = 92.1, hkl 1 1 1
2θ 35.48, I = 44.1, hkl 2 0 1
2θ 40.63, I = 57.5, hkl 1 1 -2
2θ 47.18, I = 36.3, hkl 3 1 -1
2θ 48.70, I = 36.6, hkl 2 0 -3
2θ 60.01, I = 20.1, hkl 2 2 -1
2θ 62.16, I = 17.4, hkl 1 1 3
2θ 79.80, I = 17.4, hkl 4 2 0



Theoretical PXRD pattern of Pm2TmAs4Rh3 for Cu Kα (λ = 1.5418 Å), from a PBE-relaxed structure.
Kinematic intensities with the Lorentz-polarization factor, no thermal factor.

Atomic structure:
Cell lengths 4.3053, 4.3053, 10.8499 Å; angles 90.00, 90.00, 90.00 degrees
Space group P-4m2 (No. 115)
Asymmetric unit:
Pm 0.0000 0.5000 0.2230 [2 per cell]
Tm 0.0000 0.0000 0.5000 [1 per cell]
As 0.0000 0.0000 0.0000 [1 per cell]
As 0.0000 0.5000 0.6601 [2 per cell]
As 0.5000 0.5000 0.0000 [1 per cell]
Rh 0.0000 0.5000 0.8877 [2 per cell]
Rh 0.5000 0.5000 0.5000 [1 per cell]

Principal peaks in the range 10° ≤ 2θ ≤ 90°, in order of rising 2θ:
2θ 30.50, I = 14.6, hkl 1 1 1
2θ 32.33, I = 43.8, hkl 1 0 3
2θ 33.76, I = 100.0, hkl 1 1 2
2θ 39.26, I = 17.0, hkl 1 0 4
2θ 41.97, I = 59.4, hkl 2 0 0
2θ 44.75, I = 20.6, hkl 1 1 4
2θ 46.89, I = 13.2, hkl 1 0 5
2θ 53.95, I = 20.3, hkl 2 1 3
2θ 58.81, I = 10.4, hkl 2 1 4
2θ 59.45, I = 10.0, hkl 1 1 6
2θ 60.86, I = 19.6, hkl 2 2 0
2θ 71.44, I = 22.5, hkl 3 1 2



Theoretical PXRD pattern of MgCr3 for Cu Kα (λ = 1.5418 Å), from a PBE-relaxed structure.
Kinematic intensities with the Lorentz-polarization factor, no thermal factor.

Atomic structure:
Cell lengths 6.2350, 8.5528, 4.0679 Å; angles 90.00, 90.00, 90.00 degrees
Space group Cmcm (No. 63)
Asymmetric unit:
Mg 0.0000 0.1256 0.2500 [4 per cell]
Cr 0.0000 0.3623 0.7500 [4 per cell]
Cr 0.2022 0.3988 0.2500 [8 per cell]

Principal peaks in the range 10° ≤ 2θ ≤ 90°, in order of rising 2θ:
2θ 17.60, I = 27.8, hkl 1 1 0
2θ 34.60, I = 3.9, hkl 1 3 0
2θ 42.21, I = 100.0, hkl 0 4 0
2θ 44.55, I = 21.9, hkl 0 0 2
2θ 48.07, I = 5.9, hkl 0 4 1
2θ 48.25, I = 3.4, hkl 1 1 2
2θ 50.45, I = 8.7, hkl 3 1 1
2θ 59.28, I = 3.4, hkl 4 0 0
2θ 59.55, I = 7.5, hkl 3 3 1
2θ 63.08, I = 10.9, hkl 0 4 2
2θ 77.26, I = 9.0, hkl 2 6 1
2θ 80.43, I = 9.8, hkl 2 2 3



Theoretical PXRD pattern of Ho3SOF5 for Cu Kα (λ = 1.5418 Å), from a PBE-relaxed structure.
Kinematic intensities with the Lorentz-polarization factor, no thermal factor.

Atomic structure:
Cell lengths 9.3460, 3.6501, 9.4056 Å; angles 90.00, 119.49, 90.00 degrees
Space group Pm (No. 6)
Asymmetric unit:
Ho 0.0000 0.0000 0.0000 [1 per cell]
Ho 0.1044 0.5000 0.6869 [1 per cell]
Ho 0.2719 0.5000 0.3733 [1 per cell]
Ho 0.5266 0.0000 0.8170 [1 per cell]
Ho 0.7009 0.0000 0.5054 [1 per cell]
Ho 0.8219 0.5000 0.2366 [1 per cell]
S 0.0772 0.0000 0.4404 [1 per cell]
S 0.7332 0.5000 0.7699 [1 per cell]
O 0.0212 0.5000 0.1548 [1 per cell]
O 0.8406 0.5000 0.4895 [1 per cell]
F 0.1294 0.5000 0.9397 [1 per cell]
F 0.2593 0.0000 0.2199 [1 per cell]
F 0.2831 0.0000 0.8178 [1 per cell]
F 0.3571 0.5000 0.6688 [1 per cell]
F 0.4483 0.0000 0.5347 [1 per cell]
F 0.5167 0.5000 0.3763 [1 per cell]
F 0.5617 0.5000 0.9825 [1 per cell]
F 0.6760 0.0000 0.2522 [1 per cell]
F 0.7816 0.0000 0.0550 [1 per cell]
F 0.9731 0.0000 0.7276 [1 per cell]

Principal peaks in the range 10° ≤ 2θ ≤ 90°, in order of rising 2θ:
2θ 10.85, I = 27.1, hkl 1 0 0
2θ 18.84, I = 30.0, hkl 1 0 -2
2θ 26.77, I = 48.0, hkl 1 1 0
2θ 28.92, I = 100.0, hkl 2 0 1
2θ 29.21, I = 44.7, hkl 3 0 -2
2θ 30.99, I = 55.2, hkl 1 1 -2
2θ 31.09, I = 29.8, hkl 2 1 -1
2θ 33.01, I = 38.5, hkl 2 1 -2
2θ 38.34, I = 31.9, hkl 3 1 -1
2θ 47.46, I = 32.5, hkl 3 1 -4
2θ 51.62, I = 39.0, hkl 5 0 -1
2θ 58.78, I = 28.8, hkl 2 2 1



Theoretical PXRD pattern of Ta4Mo4W5 for Cu Kα (λ = 1.5418 Å), from a PBE-relaxed structure.
Kinematic intensities with the Lorentz-polarization factor, no thermal factor.

Atomic structure:
Cell lengths 13.2450, 4.5449, 8.3470 Å; angles 90.00, 120.97, 90.00 degrees
Space group C2/m (No. 12)
Asymmetric unit:
Ta 0.0766 0.0000 0.1980 [4 per cell]
Ta 0.1187 0.5000 0.0385 [4 per cell]
Mo 0.1536 0.0000 0.8823 [4 per cell]
Mo 0.2307 0.0000 0.5763 [4 per cell]
W 0.0000 0.0000 0.5000 [2 per cell]
W 0.0396 0.5000 0.3514 [4 per cell]
W 0.1903 0.5000 0.7291 [4 per cell]

Principal peaks in the range 10° ≤ 2θ ≤ 90°, in order of rising 2θ:
2θ 15.61, I = 1.6, hkl 2 0 0
2θ 24.52, I = 0.8, hkl 2 0 1
2θ 26.49, I = 1.0, hkl 1 1 1
2θ 30.74, I = 1.0, hkl 3 1 0
2θ 39.68, I = 100.0, hkl 0 2 0
2θ 57.34, I = 5.7, hkl 6 0 -5
2θ 57.39, I = 11.4, hkl 4 2 1
2θ 72.00, I = 28.9, hkl 5 3 -2
2θ 72.08, I = 5.8, hkl 3 1 4
2θ 85.46, I = 5.7, hkl 0 4 0
2θ 85.51, I = 3.7, hkl 2 2 -6
2θ 85.61, I = 1.9, hkl 8 0 2



Theoretical PXRD pattern of Ho2MgAu3 for Cu Kα (λ = 1.5418 Å), from a PBE-relaxed structure.
Kinematic intensities with the Lorentz-polarization factor, no thermal factor.

Atomic structure:
Cell lengths 4.9673, 4.9673, 12.1019 Å; angles 90.00, 90.00, 120.00 degrees
Space group P-3m1 (No. 164)
Asymmetric unit:
Ho 0.0000 0.0000 0.0000 [1 per cell]
Ho 0.0000 0.0000 0.5000 [1 per cell]
Ho 0.3333 0.6667 0.1795 [2 per cell]
Mg 0.3333 0.6667 0.6649 [2 per cell]
Au 0.0000 0.0000 0.2510 [2 per cell]
Au 0.3333 0.6667 0.4245 [2 per cell]
Au 0.3333 0.6667 0.9200 [2 per cell]

Principal peaks in the range 10° ≤ 2θ ≤ 90°, in order of rising 2θ:
2θ 21.93, I = 9.1, hkl 1 0 1
2θ 25.40, I = 17.2, hkl 0 1 2
2θ 36.17, I = 100.0, hkl 1 1 0
2θ 36.30, I = 96.4, hkl 1 0 4
2θ 42.73, I = 4.6, hkl 1 1 3
2θ 52.18, I = 34.5, hkl 0 2 4
2θ 65.10, I = 53.9, hkl 3 0 0
2θ 65.40, I = 17.7, hkl 0 1 8
2θ 76.75, I = 11.5, hkl 2 2 0
2θ 77.08, I = 11.2, hkl 2 0 8
2θ 87.99, I = 16.6, hkl 1 3 4
2θ 88.23, I = 16.6, hkl 1 2 8



Theoretical PXRD pattern of Nd3Dy5Er for Cu Kα (λ = 1.5418 Å), from a PBE-relaxed structure.
Kinematic intensities with the Lorentz-polarization factor, no thermal factor.

Atomic structure:
Cell lengths 16.5216, 6.7301, 11.4488 Å; angles 90.00, 109.67, 90.00 degrees
Space group C2/c (No. 15)
Asymmetric unit:
Nd 0.0000 0.0000 0.0000 [4 per cell]
Nd 0.2373 0.3759 0.3554 [8 per cell]
Dy 0.0000 0.3199 0.7500 [4 per cell]
Dy 0.1070 0.4966 0.5450 [8 per cell]
Dy 0.1756 0.1196 0.8715 [8 per cell]
Er 0.0000 0.2266 0.2500 [4 per cell]

Principal peaks in the range 10° ≤ 2θ ≤ 90°, in order of rising 2θ:
2θ 22.87, I = 10.5, hkl 4 0 0
2θ 30.68, I = 28.7, hkl 3 1 2
2θ 30.93, I = 53.7, hkl 5 1 -2
2θ 31.22, I = 100.0, hkl 2 0 -4
2θ 31.37, I = 60.0, hkl 0 2 2
2θ 31.68, I = 17.7, hkl 5 1 0
2θ 32.61, I = 29.7, hkl 4 0 2
2θ 32.91, I = 14.2, hkl 6 0 -2
2θ 35.26, I = 12.0, hkl 4 2 0
2θ 36.58, I = 11.4, hkl 0 2 3
2θ 38.59, I = 12.3, hkl 4 2 -3
2θ 55.60, I = 20.2, hkl 7 1 -6